Structure and calculated powder diffractogram of NdAl4 (a structure optimized by DFT (GGA-PBE); Cu Kα (weighted mean of Kα1 and Kα2)).
Lines closer than 0.1° are merged.

The 10 most intense peaks (2θ from 15° to 90°), in order of rising 2θ:
| 2theta | intensity |
| --- | --- |
| 15.11 | 485 |
| 20.73 | 439 |
| 23.72 | 504 |
| 25.81 | 284 |
| 27.35 | 997 |
| 34.73 | 1000 |
| 38.11 | 554 |
| 38.22 | 723 |
| 40.00 | 368 |
| 56.43 | 351 |

Cell and atoms:
```
NdAl4
1.0
-2.254 3.238 6.903
2.254 -3.238 6.903
2.254 3.238 -6.903
Nd Al
2 8
Cartesian
0.000 1.619 1.582
2.254 1.619 5.321
2.254 0.000 0.000
2.254 -1.619 5.326
2.254 -0.281 2.734
2.254 2.957 -2.734
0.000 0.000 6.903
0.000 0.281 9.636
0.000 3.518 4.169
0.000 4.856 1.577
```

Structure and calculated powder diffractogram of Nd5Al3 (a structure optimized by DFT (GGA-PBE); Cu Kα (weighted mean of Kα1 and Kα2)).
Lines closer than 0.1° are merged.

The 10 most intense peaks (2θ from 15° to 90°), in order of rising 2θ:
| 2theta | intensity |
| --- | --- |
| 21.95 | 463 |
| 22.59 | 471 |
| 29.99 | 990 |
| 32.16 | 721 |
| 33.34 | 1000 |
| 33.61 | 363 |
| 36.67 | 478 |
| 51.94 | 330 |
| 54.03 | 248 |
| 66.05 | 246 |

Cell and atoms:
```
Nd5Al3
1.0
-6.224 6.224 2.951
6.224 -6.224 2.951
6.224 6.224 -2.951
Nd Al
10 6
Cartesian
9.713 1.060 0.000
1.060 2.735 0.000
6.224 0.000 1.475
7.283 3.489 0.000
3.489 5.164 0.000
2.735 1.060 2.951
-1.060 2.735 2.951
0.000 6.224 1.475
5.164 3.489 2.951
-3.489 5.164 2.951
4.223 2.001 0.000
0.000 0.000 1.475
4.223 -2.001 2.951
2.001 8.225 0.000
0.000 0.000 4.426
2.001 4.223 2.951
```

Structure and calculated powder diffractogram of Nd2Al (a structure optimized by DFT (GGA-PBE); Cu Kα (weighted mean of Kα1 and Kα2)).
Lines closer than 0.1° are merged.

The 10 most intense peaks (2θ from 15° to 90°), in order of rising 2θ:
| 2theta | intensity |
| --- | --- |
| 21.49 | 267 |
| 26.62 | 447 |
| 28.97 | 617 |
| 32.06 | 183 |
| 32.90 | 1000 |
| 34.47 | 296 |
| 35.47 | 286 |
| 48.22 | 245 |
| 51.13 | 289 |
| 61.61 | 181 |

Cell and atoms:
```
Nd2Al
1.0
-3.194 4.135 3.348
3.194 -4.135 3.348
3.194 4.135 -3.348
Nd Al
4 2
Cartesian
0.888 1.487 0.000
4.083 2.648 0.000
-0.888 1.487 3.348
2.306 2.648 3.348
3.194 0.000 1.674
0.000 4.135 1.674
```

Structure and calculated powder diffractogram of NdAlNi3 (a structure optimized by DFT (GGA-PBE); Cu Kα (weighted mean of Kα1 and Kα2)).
Lines closer than 0.1° are merged.

The 10 most intense peaks (2θ from 15° to 90°), in order of rising 2θ:
| 2theta | intensity |
| --- | --- |
| 28.62 | 309 |
| 32.16 | 1000 |
| 38.38 | 615 |
| 40.40 | 364 |
| 41.43 | 691 |
| 51.33 | 186 |
| 59.25 | 463 |
| 65.87 | 234 |
| 67.27 | 159 |
| 77.24 | 145 |

Cell and atoms:
```
NdAlNi3
1.0
2.757 -3.560 0.000
2.757 3.560 0.000
0.000 0.000 4.465
Nd Al Ni
1 1 3
Cartesian
0.000 0.000 0.000
2.757 0.000 2.232
1.378 1.780 2.232
1.378 -1.780 2.232
2.757 0.000 0.000
```

Structure and calculated powder diffractogram of NdAl8Ni2 (a structure optimized by DFT (GGA-PBE); Cu Kα (weighted mean of Kα1 and Kα2)).
Lines closer than 0.1° are merged.

The 10 most intense peaks (2θ from 15° to 90°), in order of rising 2θ:
| 2theta | intensity |
| --- | --- |
| 15.84 | 412 |
| 19.40 | 506 |
| 25.14 | 1000 |
| 27.51 | 215 |
| 37.70 | 190 |
| 39.38 | 651 |
| 40.97 | 270 |
| 45.89 | 306 |
| 53.04 | 248 |
| 80.50 | 153 |

Cell and atoms:
```
NdAl8Ni2
1.0
5.593 0.000 0.000
0.000 5.593 0.000
0.000 0.000 7.958
Nd Al Ni
1 8 2
Cartesian
0.000 0.000 0.000
1.394 1.394 2.578
1.394 1.394 5.380
1.394 4.200 2.578
1.394 4.200 5.380
4.200 1.394 2.578
4.200 1.394 5.380
4.200 4.200 2.578
4.200 4.200 5.380
0.000 2.797 3.979
2.797 0.000 3.979
```

Structure and calculated powder diffractogram of Nd3Al2Ni9 (a structure optimized by DFT (GGA-PBE); Cu Kα (weighted mean of Kα1 and Kα2)).
Lines closer than 0.1° are merged.

The 10 most intense peaks (2θ from 15° to 90°), in order of rising 2θ:
| 2theta | intensity |
| --- | --- |
| 24.23 | 351 |
| 31.26 | 774 |
| 35.04 | 491 |
| 36.40 | 495 |
| 36.73 | 1000 |
| 36.91 | 727 |
| 38.81 | 508 |
| 39.65 | 394 |
| 43.21 | 533 |
| 45.35 | 648 |

Cell and atoms:
```
Nd3Al2Ni9
1.0
-2.000 4.640 6.142
2.000 -4.640 6.142
2.000 4.640 -6.142
Nd Al Ni
3 2 9
Cartesian
0.000 0.000 0.000
0.000 0.000 3.655
0.000 0.000 8.630
2.000 2.678 0.000
0.000 1.963 6.142
2.000 -1.782 2.388
2.000 -2.060 4.821
0.000 2.580 1.322
2.000 1.782 2.388
0.000 4.640 0.000
0.000 2.858 3.755
2.000 2.060 4.821
0.000 6.700 1.322
0.000 6.422 3.755
```

Structure and calculated powder diffractogram of Nd3Al3Ni2 (a structure optimized by DFT (GGA-PBE); Cu Kα (weighted mean of Kα1 and Kα2)).
Lines closer than 0.1° are merged.

The 10 most intense peaks (2θ from 15° to 90°), in order of rising 2θ:
| 2theta | intensity |
| --- | --- |
| 26.13 | 615 |
| 27.86 | 403 |
| 30.43 | 757 |
| 32.22 | 1000 |
| 34.54 | 858 |
| 35.24 | 617 |
| 36.11 | 692 |
| 37.01 | 726 |
| 38.46 | 715 |
| 54.58 | 422 |

Cell and atoms:
```
Nd3Al3Ni2
1.0
8.095 0.000 0.000
0.000 15.286 0.000
0.000 0.000 5.575
Nd Al Ni
12 12 8
Cartesian
0.301 1.700 0.579
0.301 5.943 0.579
1.498 3.821 3.319
2.549 11.464 0.532
3.747 9.343 3.366
3.747 13.586 3.366
4.348 1.700 2.208
4.348 5.943 2.208
5.546 3.821 5.043
6.597 11.464 2.255
7.795 9.343 4.996
7.795 13.586 4.996
1.341 11.464 3.231
1.396 0.513 3.355
1.396 7.129 3.355
2.651 8.156 0.567
2.651 14.772 0.567
2.706 3.821 0.444
5.389 11.464 5.131
5.444 0.513 5.007
5.444 7.129 5.007
6.699 8.156 2.220
6.699 14.772 2.220
6.754 3.821 2.344
0.918 9.236 2.065
0.918 13.693 2.065
3.130 1.593 4.853
3.130 6.050 4.853
4.965 9.236 0.722
4.965 13.693 0.722
7.177 1.593 3.509
7.177 6.050 3.509
```

Structure and calculated powder diffractogram of NdNpAlO6 (a structure optimized by DFT (GGA-PBE); Cu Kα (weighted mean of Kα1 and Kα2)).
Lines closer than 0.1° are merged.

The 10 most intense peaks (2θ from 15° to 90°), in order of rising 2θ:
| 2theta | intensity |
| --- | --- |
| 21.28 | 605 |
| 26.11 | 1000 |
| 32.70 | 236 |
| 33.97 | 417 |
| 40.43 | 141 |
| 43.34 | 247 |
| 49.56 | 452 |
| 53.81 | 123 |
| 56.18 | 240 |
| 60.79 | 141 |

Cell and atoms:
```
NdNpAlO6
1.0
5.278 0.000 0.000
-2.639 4.571 0.000
0.000 0.000 10.259
Nd Np Al O
2 2 2 12
Cartesian
0.000 0.000 0.000
0.000 0.000 5.130
0.000 3.048 2.565
2.639 1.524 7.694
0.000 3.048 7.694
2.639 1.524 2.565
-0.879 1.696 6.606
-1.610 2.962 8.783
0.879 1.696 8.783
-0.731 4.485 6.606
1.909 0.087 1.476
1.029 1.610 3.653
1.610 2.962 6.606
0.731 4.485 8.783
3.370 0.087 3.653
1.760 2.875 1.476
4.249 1.610 1.476
3.518 2.875 3.653
```

Structure and calculated powder diffractogram of Nd4Al2O (a structure optimized by DFT (GGA-PBE); Cu Kα (weighted mean of Kα1 and Kα2)).
Lines closer than 0.1° are merged.

The 10 most intense peaks (2θ from 15° to 90°), in order of rising 2θ:
| 2theta | intensity |
| --- | --- |
| 24.70 | 360 |
| 28.48 | 1000 |
| 32.81 | 322 |
| 33.12 | 190 |
| 34.33 | 563 |
| 37.49 | 514 |
| 50.66 | 376 |
| 52.19 | 189 |
| 62.23 | 223 |
| 65.63 | 218 |

Cell and atoms:
```
Nd4Al2O
1.0
-2.399 2.399 8.188
2.399 -2.399 8.188
2.399 2.399 -8.188
Nd Al O
4 2 1
Cartesian
2.399 0.000 0.000
0.000 0.000 2.839
0.000 2.399 0.000
0.000 0.000 13.537
0.000 0.000 5.977
0.000 0.000 10.399
0.000 0.000 0.000
```

Structure and calculated powder diffractogram of NdAl2O4 (a structure optimized by DFT (GGA-PBE); Cu Kα (weighted mean of Kα1 and Kα2)).
Lines closer than 0.1° are merged.

The 10 most intense peaks (2θ from 15° to 90°), in order of rising 2θ:
| 2theta | intensity |
| --- | --- |
| 18.17 | 975 |
| 24.26 | 988 |
| 28.73 | 854 |
| 31.54 | 974 |
| 32.14 | 1000 |
| 33.16 | 333 |
| 39.33 | 442 |
| 43.08 | 333 |
| 46.31 | 571 |
| 49.76 | 448 |

Cell and atoms:
```
NdAl2O4
1.0
0.000 5.698 3.270
4.795 0.000 3.270
4.795 5.698 0.000
Nd Al O
2 4 8
Cartesian
0.000 0.000 0.000
2.398 2.849 1.635
6.047 4.931 2.779
3.650 3.616 4.414
3.543 6.464 2.779
5.940 7.780 4.414
6.551 6.696 3.033
8.949 7.548 4.668
5.384 4.298 4.376
3.039 4.699 3.033
4.206 7.097 4.376
6.603 7.147 6.012
7.782 9.946 6.012
5.436 9.545 4.668
```

Structure and calculated powder diffractogram of Pr12NdAl4O3 (a structure optimized by DFT (GGA-PBE); Cu Kα (weighted mean of Kα1 and Kα2)).
Lines closer than 0.1° are merged.

The 10 most intense peaks (2θ from 15° to 90°), in order of rising 2θ:
| 2theta | intensity |
| --- | --- |
| 17.30 | 511 |
| 30.20 | 1000 |
| 35.01 | 778 |
| 39.30 | 227 |
| 50.35 | 526 |
| 53.64 | 111 |
| 59.84 | 390 |
| 62.80 | 171 |
| 81.93 | 144 |
| 84.54 | 207 |

Cell and atoms:
```
Pr12NdAl4O3
1.0
-5.126 5.126 5.126
5.126 -5.126 5.126
5.126 5.126 -5.126
Pr Nd Al O
12 1 4 3
Cartesian
2.788 0.000 0.000
7.464 0.000 0.000
5.126 2.563 0.000
5.126 0.000 2.563
0.000 2.788 0.000
0.000 0.000 2.788
2.563 5.126 0.000
2.563 0.000 5.126
0.000 7.464 0.000
0.000 0.000 7.464
0.000 5.126 2.563
0.000 2.563 5.126
0.000 0.000 0.000
2.563 2.563 -2.563
2.563 -2.563 2.563
-2.563 2.563 2.563
2.563 2.563 2.563
5.126 0.000 0.000
0.000 5.126 0.000
0.000 0.000 5.126
```

Structure and calculated powder diffractogram of Rb2NdAlO4 (a structure optimized by DFT (GGA-PBE); Cu Kα (weighted mean of Kα1 and Kα2)).
Lines closer than 0.1° are merged.

The 10 most intense peaks (2θ from 15° to 90°), in order of rising 2θ:
| 2theta | intensity |
| --- | --- |
| 17.34 | 778 |
| 25.03 | 886 |
| 26.18 | 1000 |
| 26.53 | 482 |
| 28.33 | 499 |
| 32.20 | 917 |
| 34.28 | 667 |
| 37.45 | 358 |
| 39.81 | 404 |
| 48.41 | 364 |

Cell and atoms:
```
Rb2NdAlO4
1.0
0.000 6.301 12.132
2.875 0.000 12.132
2.875 6.301 0.000
Rb Nd Al O
4 2 2 8
Cartesian
2.156 4.726 1.641
3.594 7.877 7.707
2.156 4.726 16.558
3.594 7.877 22.624
0.719 1.575 3.033
5.032 11.027 21.231
2.156 4.726 9.099
3.594 7.877 15.165
3.297 3.624 8.222
3.297 5.828 9.976
4.735 6.775 16.042
4.735 8.978 14.288
1.016 3.624 9.976
1.016 5.828 8.222
2.453 6.775 14.288
2.453 8.978 16.042
```